Simulated XRD peak list
Compound: Er3Sb5O12
Radiation: Cu Kα, 1.54184 Å
Structure: a structure optimized by DFT (GGA-PBE)

Cell and atoms:
```
40
Lattice="-5.320 5.320 5.320 5.320 -5.320 5.320 5.320 5.320 -5.320" Properties=species:S:1:pos:R:3 pbc="T T T"
Er 5.320 2.660 0.000
Er 5.320 0.000 2.660
Er 2.660 5.320 0.000
Er 2.660 0.000 5.320
Er 0.000 5.320 2.660
Er 0.000 2.660 5.320
Sb 2.775 2.775 -2.775
Sb 2.944 0.000 0.000
Sb 2.775 -2.775 2.775
Sb 7.697 0.000 0.000
Sb 0.000 2.944 0.000
Sb 0.000 0.000 2.944
Sb 2.545 2.545 2.545
Sb -2.775 2.775 2.775
Sb 0.000 7.697 0.000
Sb 0.000 0.000 7.697
O 3.624 1.473 -1.473
O 3.624 -1.473 1.473
O 6.448 1.093 -1.093
O 6.448 -1.093 1.093
O 1.473 3.624 -1.473
O 1.473 -1.473 3.624
O 4.193 1.093 1.093
O 7.017 1.473 1.473
O 4.228 4.228 -1.128
O 4.228 -1.128 4.228
O -1.473 3.624 1.473
O -1.473 1.473 3.624
O 1.093 4.193 1.093
O 1.093 1.093 4.193
O 1.093 6.448 -1.093
O 1.093 -1.093 6.448
O 3.847 3.847 1.696
O 3.847 1.696 3.847
O -1.093 6.448 1.093
O -1.093 1.093 6.448
O 1.696 3.847 3.847
O -1.128 4.228 4.228
O 1.473 7.017 1.473
O 1.473 1.473 7.017
```

Top 10 peaks for 2θ from 5° to 70°, most intense first:
| 2theta | d_spacing | I (rel.) |
| --- | --- | --- |
| 29.07 | 3.072 | 100 |
| 48.39 | 1.881 | 43 |
| 57.45 | 1.604 | 39 |
| 33.69 | 2.660 | 35 |
| 11.76 | 7.524 | 14 |
| 60.26 | 1.536 | 9 |
| 31.46 | 2.844 | 4 |
| 64.33 | 1.448 | 3 |
| 56.01 | 1.642 | 3 |
| 43.36 | 2.087 | 3 |